Calculated powder XRD pattern
Compound: LiMn2OF5
Radiation: Cu Ka
Structure: a cell relaxed with PBE+U
Neutral-atom scattering factors, no anomalous dispersion.

Atomic structure:
Cell: 4.6463 4.6463 18.9297 Å, 91.69 91.69 89.85°
Fractional positions:
Li (0.0050, 0.9950, 0.5000)
Li (0.5007, 0.5152, 0.7502)
Li (0.5152, 0.5007, 0.2502)
Li (0.9950, 0.0050, 0.0000)
Mn (0.0206, 0.0297, 0.8319)
Mn (0.0273, 0.9909, 0.1614)
Mn (0.0297, 0.0206, 0.3319)
Mn (0.4822, 0.5239, 0.0826)
Mn (0.4872, 0.4938, 0.9116)
Mn (0.4938, 0.4872, 0.4116)
Mn (0.5239, 0.4822, 0.5826)
Mn (0.9909, 0.0273, 0.6614)
O (0.1976, 0.8047, 0.0856)
O (0.3037, 0.3099, 0.8352)
O (0.3099, 0.3037, 0.3352)
O (0.8047, 0.1976, 0.5856)
F (0.1934, 0.8319, 0.7392)
F (0.2075, 0.8128, 0.9115)
F (0.2144, 0.8001, 0.4148)
F (0.2182, 0.8093, 0.2506)
F (0.2258, 0.7797, 0.5817)
F (0.2922, 0.3185, 0.0003)
F (0.3028, 0.3074, 0.6653)
F (0.3074, 0.3028, 0.1653)
F (0.3185, 0.2922, 0.5003)
F (0.6840, 0.6993, 0.9903)
F (0.6993, 0.6840, 0.4903)
F (0.7070, 0.7103, 0.1616)
F (0.7103, 0.7070, 0.6616)
F (0.7235, 0.7331, 0.8307)
F (0.7331, 0.7235, 0.3307)
F (0.7797, 0.2258, 0.0817)
F (0.8001, 0.2144, 0.9148)
F (0.8093, 0.2182, 0.7506)
F (0.8128, 0.2075, 0.4115)
F (0.8319, 0.1934, 0.2392)

The 8 most intense peaks (2θ from 15° to 90°), in order of rising 2θ:
18.77°, I = 26
21.06°, I = 35
21.56°, I = 28
27.15°, I = 100
33.89°, I = 33
39.65°, I = 22
51.70°, I = 21
52.47°, I = 18

***

Calculated powder XRD pattern
Compound: Co5CuO8
Radiation: Cu Ka
Structure: a cell relaxed with PBE+U
Neutral-atom scattering factors, no anomalous dispersion.

Atomic structure:
Cell: 5.7675 5.7688 10.0868 Å, 89.96 73.46 60.04°
Fractional positions:
Co (0.0000, 0.0000, 0.0000)
Co (0.0004, 0.4991, 0.0003)
Co (0.3724, 0.0644, 0.6850)
Co (0.3733, 0.5664, 0.1851)
Co (0.4976, 0.5036, 0.5008)
Co (0.5001, 0.0004, 0.0000)
Co (0.6215, 0.9412, 0.3138)
Co (0.6249, 0.4408, 0.8143)
Co (0.9969, 0.0039, 0.5010)
Co (0.9968, 0.5042, 0.5014)
Cu (0.9973, 0.2534, 0.2507)
Cu (0.9974, 0.7516, 0.7508)
O (0.2081, 0.1485, 0.3898)
O (0.2128, 0.6427, 0.8879)
O (0.2348, 0.6349, 0.3947)
O (0.2371, 0.1315, 0.8941)
O (0.2404, 0.8604, 0.6151)
O (0.2410, 0.4048, 0.6137)
O (0.2424, 0.9015, 0.1148)
O (0.2445, 0.3554, 0.1130)
O (0.7525, 0.1483, 0.3895)
O (0.7535, 0.6029, 0.3891)
O (0.7540, 0.6437, 0.8892)
O (0.7557, 0.1005, 0.8874)
O (0.7599, 0.3710, 0.6073)
O (0.7638, 0.8680, 0.1054)
O (0.7845, 0.8603, 0.6134)
O (0.7871, 0.3559, 0.1126)

The 8 most intense peaks (2θ from 15° to 90°), in order of rising 2θ:
30.76°, I = 26
31.00°, I = 31
36.22°, I = 34
36.41°, I = 100
36.51°, I = 42
44.24°, I = 38
64.05°, I = 28
64.62°, I = 41

***

Calculated powder XRD pattern
Compound: Li4V5O9F
Radiation: Cu Ka
Structure: a cell relaxed with PBE+U
Neutral-atom scattering factors, no anomalous dispersion.

Atomic structure:
Cell: 5.1858 5.2339 7.9979 Å, 108.75 101.58 100.75°
Fractional positions:
Li (0.0000, 0.0000, 0.0000)
Li (0.1916, 0.4186, 0.4072)
Li (0.4136, 0.8113, 0.8228)
Li (0.8010, 0.5968, 0.6057)
V (0.1121, 0.2011, 0.7066)
V (0.3130, 0.5914, 0.1054)
V (0.5113, 0.0085, 0.5143)
V (0.7130, 0.3968, 0.9122)
V (0.8908, 0.7948, 0.3081)
O (0.0667, 0.5874, 0.8699)
O (0.1519, 0.8147, 0.5438)
O (0.3482, 0.2115, 0.9400)
O (0.4610, 0.3810, 0.6596)
O (0.5394, 0.6357, 0.3574)
O (0.6630, 0.7662, 0.0605)
O (0.7597, 0.0224, 0.7583)
O (0.8627, 0.1788, 0.4700)
O (0.9746, 0.4378, 0.1604)
F (0.2470, 0.9977, 0.2616)

The 8 most intense peaks (2θ from 15° to 90°), in order of rising 2θ:
18.04°, I = 100
34.67°, I = 25
35.29°, I = 13
41.95°, I = 27
42.12°, I = 27
43.12°, I = 25
60.96°, I = 14
61.75°, I = 21